(1)
This entry pairs a crystal structure of ZrPdBr6 with its simulated PXRD pattern. Radiation: a wavelength of 1.5418 Å. Structure: a cell relaxed with PBE.
Neutral-atom scattering factors, no anomalous dispersion.

Crystal structure
```
16
Lattice="7.799 0.000 0.000 0.000 11.679 0.000 -1.240 0.000 6.733" Properties=species:S:1:pos:R:3 pbc="T T T"
Zr 0.000 0.000 0.000
Zr 3.900 5.840 0.000
Pd -0.620 0.000 3.367
Pd 3.280 5.840 3.367
Br -0.177 1.806 5.024
Br -0.177 9.873 5.024
Br 0.447 5.840 5.413
Br 2.213 0.000 1.320
Br 2.837 4.033 1.709
Br 2.837 7.646 1.709
Br 3.722 4.033 5.024
Br 3.722 7.646 5.024
Br 4.347 0.000 5.413
Br 6.113 5.840 1.320
Br 6.737 1.806 1.709
Br 6.737 9.873 1.709
```

The 6 most intense peaks (2θ = 10–80°), in order of rising 2θ:
| 2θ (°) | Rel. int. |
| --- | --- |
| 13.81 | 1000 |
| 15.17 | 294 |
| 24.54 | 348 |
| 27.96 | 279 |
| 29.91 | 232 |
| 35.60 | 489 |

---

(2)
This entry pairs a crystal structure of PmPrSBr with its simulated PXRD pattern. Radiation: a wavelength of 1.5418 Å. Structure: a cell relaxed with PBE.
Neutral-atom scattering factors, no anomalous dispersion.

Crystal structure
```
8
Lattice="6.864 0.000 0.000 0.000 3.968 0.000 -2.277 0.000 7.770" Properties=species:S:1:pos:R:3 pbc="T T T"
Pm 0.000 0.000 0.000
Pm 3.432 1.984 0.000
Pr 0.006 0.000 4.603
Pr 3.438 1.984 4.603
S -1.135 1.984 6.213
S 2.297 0.000 6.213
Br 2.291 0.000 2.217
Br 5.723 1.984 2.217
```

The 6 most intense peaks (2θ = 10–80°), in order of rising 2θ:
| 2θ (°) | Rel. int. |
| --- | --- |
| 26.23 | 371 |
| 30.21 | 487 |
| 32.38 | 1000 |
| 45.76 | 433 |
| 47.12 | 232 |
| 57.17 | 193 |

---

(3)
This entry pairs a crystal structure of PmPuBr5 with its simulated PXRD pattern. Radiation: a wavelength of 1.5418 Å. Structure: a cell relaxed with PBE.
Neutral-atom scattering factors, no anomalous dispersion.

Crystal structure
```
14
Lattice="8.470 0.000 0.000 0.000 4.124 0.000 -0.894 0.000 13.801" Properties=species:S:1:pos:R:3 pbc="T T T"
Pm 0.548 1.031 2.146
Pm 7.028 3.093 11.655
Pu 3.164 3.093 4.931
Pu 4.412 1.031 8.870
Br 0.446 1.031 10.902
Br 0.942 1.031 5.090
Br 1.527 3.093 0.238
Br 2.466 3.093 7.876
Br 3.466 1.031 2.667
Br 4.110 3.093 11.134
Br 5.110 1.031 5.925
Br 6.049 1.031 13.563
Br 6.634 3.093 8.710
Br 7.130 3.093 2.898
```

The 6 most intense peaks (2θ = 10–80°), in order of rising 2θ:
| 2θ (°) | Rel. int. |
| --- | --- |
| 11.92 | 1000 |
| 27.64 | 272 |
| 30.28 | 310 |
| 30.54 | 264 |
| 32.44 | 352 |
| 43.91 | 178 |

---

(4)
This entry pairs a crystal structure of Rb3Pm2Br9 with its simulated PXRD pattern. Radiation: a wavelength of 1.5418 Å. Structure: a cell relaxed with PBE.
Neutral-atom scattering factors, no anomalous dispersion.

Crystal structure
```
28
Lattice="7.009 4.047 6.509 -7.009 4.047 6.509 0.000 -8.093 6.509" Properties=species:S:1:pos:R:3 pbc="T T T"
Rb -4.786 -0.197 8.136
Rb -2.223 -4.244 11.390
Rb 2.564 -4.047 8.136
Rb -2.564 4.047 11.390
Rb 2.223 4.244 8.136
Rb 4.786 0.197 11.390
Pm 0.000 0.000 2.842
Pm 0.000 0.000 6.921
Pm 0.000 0.000 12.605
Pm 0.000 0.000 16.684
Br -1.463 -6.023 8.177
Br -5.947 -1.744 11.349
Br -2.184 0.000 4.882
Br -1.463 -2.071 8.095
Br 1.092 -1.892 4.882
Br -4.484 4.278 8.177
Br 1.092 1.892 4.882
Br -2.525 0.232 11.431
Br -1.062 2.302 8.095
Br 1.062 -2.302 11.431
Br 2.525 -0.232 8.095
Br -1.092 -1.892 14.645
Br 4.484 -4.278 11.349
Br -1.092 1.892 14.645
Br 1.463 2.071 11.431
Br 2.184 0.000 14.645
Br 5.947 1.744 8.177
Br 1.463 6.023 11.349
```

The 6 most intense peaks (2θ = 10–80°), in order of rising 2θ:
| 2θ (°) | Rel. int. |
| --- | --- |
| 12.63 | 342 |
| 27.41 | 179 |
| 28.94 | 1000 |
| 37.72 | 333 |
| 44.79 | 287 |
| 49.40 | 232 |